Starting from the GGA-PBE geometry in Alexandria, the X-ray powder pattern of LiNdCdNi was computed for λ = 1.5418 Å (Cu Kα).
Lines closer than 0.1° are merged.

Peak list (10 most intense, 2θ = 10–80°, by angle)
two_theta	I_rel
22.70	10
26.28	42
37.50	100
44.29	5
46.37	12
54.08	17
59.39	2
61.09	16
67.66	34
72.39	2

Crystal structure
a = 6.7836 Å, b = 6.7836 Å, c = 6.7836 Å
α = 90.00°, β = 90.00°, γ = 90.00°
Fractional positions:
Li1 0.0000 0.0000 0.0000
Li2 0.0000 0.5000 0.5000
Li3 0.5000 0.0000 0.5000
Li4 0.5000 0.5000 0.0000
Nd1 0.2500 0.2500 0.2500
Nd2 0.2500 0.7500 0.7500
Nd3 0.7500 0.2500 0.7500
Nd4 0.7500 0.7500 0.2500
Cd1 0.2500 0.2500 0.7500
Cd2 0.2500 0.7500 0.2500
Cd3 0.7500 0.2500 0.2500
Cd4 0.7500 0.7500 0.7500
Ni1 0.0000 0.0000 0.5000
Ni2 0.0000 0.5000 0.0000
Ni3 0.5000 0.0000 0.0000
Ni4 0.5000 0.5000 0.5000

Starting from the GGA-PBE geometry in Alexandria, the X-ray powder pattern of LaBi3Pd was computed for λ = 1.5418 Å (Cu Kα).
Lines closer than 0.1° are merged.

Peak list (12 most intense, 2θ = 10–80°, by angle)
two_theta	I_rel
26.75	38
27.84	72
28.25	40
30.26	100
30.59	53
33.12	87
33.58	41
33.87	32
34.17	51
38.91	98
47.83	34
64.98	43

Crystal structure
a = 13.3292 Å, b = 6.5909 Å, c = 6.5028 Å
α = 90.00°, β = 90.00°, γ = 90.00°
Fractional positions:
La1 0.1956 0.0077 0.2500
La2 0.1956 0.4923 0.7500
La3 0.8044 0.5077 0.2500
La4 0.8044 0.9923 0.7500
Bi1 0.0006 0.2500 0.0000
Bi2 0.0006 0.2500 0.5000
Bi3 0.2672 0.5109 0.2500
Bi4 0.2672 0.9891 0.7500
Bi5 0.4479 0.6099 0.7500
Bi6 0.4479 0.8901 0.2500
Bi7 0.5521 0.1099 0.7500
Bi8 0.5521 0.3901 0.2500
Bi9 0.7328 0.0109 0.2500
Bi10 0.7328 0.4891 0.7500
Bi11 0.9994 0.7500 0.0000
Bi12 0.9994 0.7500 0.5000
Pd1 0.3917 0.2500 0.0000
Pd2 0.3917 0.2500 0.5000
Pd3 0.6083 0.7500 0.0000
Pd4 0.6083 0.7500 0.5000

Starting from the GGA-PBE geometry in Alexandria, the X-ray powder pattern of Sc4CoSi7 was computed for λ = 1.5418 Å (Cu Kα).
Lines closer than 0.1° are merged.

Peak list (12 most intense, 2θ = 10–80°, by angle)
two_theta	I_rel
12.65	10
30.13	5
38.60	17
39.20	100
39.85	4
42.90	3
47.32	19
50.17	13
62.65	7
65.04	6
70.25	4
71.43	9

Crystal structure
a = 3.6367 Å, b = 3.8423 Å, c = 13.9935 Å
α = 90.00°, β = 90.00°, γ = 90.00°
Fractional positions:
Sc1 0.0000 0.0000 0.0000
Sc2 0.0000 0.5000 0.4839
Sc3 0.5000 0.0000 0.1802
Sc4 0.5000 0.5000 0.6952
Co1 0.5000 0.5000 0.9915
Si1 0.0000 0.0000 0.3365
Si2 0.0000 0.0000 0.6401
Si3 0.0000 0.5000 0.1276
Si4 0.0000 0.5000 0.8563
Si5 0.5000 0.0000 0.5290
Si6 0.5000 0.0000 0.8543
Si7 0.5000 0.5000 0.3262

Q: Number 1 is which compound?
A: LiNdCdNi

Repeat the first record exactly.
Starting from the GGA-PBE geometry in Alexandria, the X-ray powder pattern of LiNdCdNi was computed for λ = 1.5418 Å (Cu Kα).
Lines closer than 0.1° are merged.

Peak list (10 most intense, 2θ = 10–80°, by angle)
two_theta	I_rel
22.70	10
26.28	42
37.50	100
44.29	5
46.37	12
54.08	17
59.39	2
61.09	16
67.66	34
72.39	2

Crystal structure
a = 6.7836 Å, b = 6.7836 Å, c = 6.7836 Å
α = 90.00°, β = 90.00°, γ = 90.00°
Fractional positions:
Li1 0.0000 0.0000 0.0000
Li2 0.0000 0.5000 0.5000
Li3 0.5000 0.0000 0.5000
Li4 0.5000 0.5000 0.0000
Nd1 0.2500 0.2500 0.2500
Nd2 0.2500 0.7500 0.7500
Nd3 0.7500 0.2500 0.7500
Nd4 0.7500 0.7500 0.2500
Cd1 0.2500 0.2500 0.7500
Cd2 0.2500 0.7500 0.2500
Cd3 0.7500 0.2500 0.2500
Cd4 0.7500 0.7500 0.7500
Ni1 0.0000 0.0000 0.5000
Ni2 0.0000 0.5000 0.0000
Ni3 0.5000 0.0000 0.0000
Ni4 0.5000 0.5000 0.5000